Theoretical X-ray powder pattern
Compound: Al2CdTe4
Radiation: a wavelength of 1.5418 Å
Structure: a cell relaxed with PBE

Structural model:
Cell lengths 8.4566, 8.4566, 11.7332 Å; angles 90.00, 90.00, 90.00 degrees
Fractional positions:
Al: 0.0000 0.2553 0.0000
Al: 0.0000 0.7447 0.5000
Al: 0.2408 0.2408 0.3750
Al: 0.2408 0.7592 0.1250
Al: 0.2553 0.0000 0.7500
Al: 0.7447 0.0000 0.2500
Al: 0.7592 0.2408 0.6250
Al: 0.7592 0.7592 0.8750
Cd: 0.2546 0.5000 0.7500
Cd: 0.5000 0.2546 0.0000
Cd: 0.5000 0.7454 0.5000
Cd: 0.7454 0.5000 0.2500
Te: 0.0180 0.2375 0.7613
Te: 0.0180 0.7625 0.7387
Te: 0.2375 0.0180 0.9887
Te: 0.2375 0.9820 0.5113
Te: 0.2383 0.4889 0.0059
Te: 0.2383 0.5111 0.4941
Te: 0.4889 0.2383 0.7441
Te: 0.4889 0.7617 0.7559
Te: 0.5111 0.2383 0.2559
Te: 0.5111 0.7617 0.2441
Te: 0.7617 0.4889 0.9941
Te: 0.7617 0.5111 0.5059
Te: 0.7625 0.0180 0.0113
Te: 0.7625 0.9820 0.4887
Te: 0.9820 0.2375 0.2387
Te: 0.9820 0.7625 0.2613

The 10 most intense peaks (10 to 90 degrees two-theta), by intensity:
- 2θ = 29.88°, rel. 100
- 2θ = 25.98°, rel. 95
- 2θ = 43.21°, rel. 82
- 2θ = 30.47°, rel. 48
- 2θ = 42.77°, rel. 42
- 2θ = 53.42°, rel. 35
- 2θ = 50.72°, rel. 26
- 2θ = 12.90°, rel. 25
- 2θ = 78.64°, rel. 23
- 2θ = 39.17°, rel. 14

---

Theoretical X-ray powder pattern
Compound: Ag2Te2O7
Radiation: a wavelength of 1.5418 Å
Structure: a cell relaxed with PBE

Structural model:
Cell lengths 7.3462, 7.3462, 7.3462 Å; angles 120.15, 91.71, 117.89 degrees
Fractional positions:
Ag: 0.0000 0.0000 0.0000
Ag: 0.5000 0.0000 0.0000
Ag: 0.5000 0.0000 0.5000
Ag: 0.5000 0.5000 0.5000
Te: 0.0000 0.0000 0.5000
Te: 0.0000 0.5000 0.0000
Te: 0.0000 0.5000 0.5000
Te: 0.5000 0.5000 0.0000
O: 0.0482 0.2243 0.4138
O: 0.0482 0.6343 0.8239
O: 0.0918 0.8418 0.2500
O: 0.3092 0.7216 0.5876
O: 0.3104 0.2243 0.6761
O: 0.3104 0.6343 0.0862
O: 0.3659 0.2784 0.0876
O: 0.6341 0.7216 0.9124
O: 0.6896 0.3657 0.9138
O: 0.6896 0.7757 0.3239
O: 0.6908 0.2784 0.4124
O: 0.9082 0.1582 0.7500
O: 0.9518 0.3657 0.1761
O: 0.9518 0.7757 0.5862

The 10 most intense peaks (10 to 90 degrees two-theta), by intensity:
- 2θ = 29.33°, rel. 100
- 2θ = 29.99°, rel. 94
- 2θ = 49.70°, rel. 69
- 2θ = 34.03°, rel. 49
- 2θ = 57.66°, rel. 31
- 2θ = 58.82°, rel. 27
- 2θ = 35.08°, rel. 23
- 2θ = 59.43°, rel. 14
- 2θ = 48.02°, rel. 13
- 2θ = 60.84°, rel. 12

---

Theoretical X-ray powder pattern
Compound: HoB2C
Radiation: a wavelength of 1.5418 Å
Structure: a cell relaxed with PBE

Structural model:
Cell lengths 6.7769, 6.7769, 7.4033 Å; angles 90.00, 90.00, 90.00 degrees
Fractional positions:
Ho: 0.1904 0.3096 0.2500
Ho: 0.1904 0.3096 0.7500
Ho: 0.3096 0.8096 0.2500
Ho: 0.3096 0.8096 0.7500
Ho: 0.6904 0.1904 0.2500
Ho: 0.6904 0.1904 0.7500
Ho: 0.8096 0.6904 0.2500
Ho: 0.8096 0.6904 0.7500
B: 0.0345 0.8480 0.0000
B: 0.0945 0.5969 0.0000
B: 0.0969 0.5945 0.5000
B: 0.1520 0.0345 0.5000
B: 0.3480 0.5345 0.5000
B: 0.4031 0.0945 0.5000
B: 0.4055 0.0969 0.0000
B: 0.4655 0.3480 0.0000
B: 0.5345 0.6520 0.0000
B: 0.5945 0.9031 0.0000
B: 0.5969 0.9055 0.5000
B: 0.6520 0.4655 0.5000
B: 0.8480 0.9655 0.5000
B: 0.9031 0.4055 0.5000
B: 0.9055 0.4031 0.0000
B: 0.9655 0.1520 0.0000
C: 0.0406 0.8226 0.5000
C: 0.1774 0.0406 0.0000
C: 0.3226 0.5406 0.0000
C: 0.4594 0.3226 0.5000
C: 0.5406 0.6774 0.5000
C: 0.6774 0.4594 0.0000
C: 0.8226 0.9594 0.0000
C: 0.9594 0.1774 0.5000

The 10 most intense peaks (10 to 90 degrees two-theta), by intensity:
- 2θ = 38.39°, rel. 100
- 2θ = 35.93°, rel. 80
- 2θ = 29.47°, rel. 79
- 2θ = 26.30°, rel. 71
- 2θ = 24.04°, rel. 61
- 2θ = 61.75°, rel. 43
- 2θ = 55.94°, rel. 37
- 2θ = 77.70°, rel. 28
- 2θ = 58.43°, rel. 24
- 2θ = 45.07°, rel. 24

---

Theoretical X-ray powder pattern
Compound: Mo2Ir3Pt3
Radiation: a wavelength of 1.5418 Å
Structure: a cell relaxed with PBE

Structural model:
Cell lengths 5.5692, 5.5692, 4.4756 Å; angles 90.00, 90.00, 120.00 degrees
Fractional positions:
Mo: 0.0000 0.0000 0.0000
Mo: 0.3333 0.6667 0.5000
Ir: 0.0042 0.5021 0.0000
Ir: 0.4979 0.5021 0.0000
Ir: 0.4979 0.9958 0.0000
Pt: 0.3318 0.1659 0.5000
Pt: 0.8341 0.1659 0.5000
Pt: 0.8341 0.6682 0.5000

The 10 most intense peaks (10 to 90 degrees two-theta), by intensity:
- 2θ = 42.59°, rel. 100
- 2θ = 40.30°, rel. 26
- 2θ = 37.29°, rel. 24
- 2θ = 81.40°, rel. 21
- 2θ = 74.84°, rel. 19
- 2θ = 67.24°, rel. 17
- 2θ = 56.07°, rel. 15
- 2θ = 82.93°, rel. 15
- 2θ = 27.18°, rel. 7
- 2θ = 87.10°, rel. 3

---

Theoretical X-ray powder pattern
Compound: Tm5Ge8Pd4
Radiation: a wavelength of 1.5418 Å
Structure: a cell relaxed with PBE

Structural model:
Cell lengths 5.8025, 13.9019, 8.4348 Å; angles 90.00, 107.73, 90.00 degrees
Fractional positions:
Tm: 0.1218 0.1191 0.2899
Tm: 0.1218 0.3809 0.2899
Tm: 0.2198 0.2500 0.9300
Tm: 0.3631 0.6135 0.2104
Tm: 0.3631 0.8865 0.2104
Tm: 0.6369 0.1135 0.7896
Tm: 0.6369 0.3865 0.7896
Tm: 0.7802 0.7500 0.0700
Tm: 0.8782 0.6191 0.7101
Tm: 0.8782 0.8809 0.7101
Ge: 0.1541 0.0443 0.9495
Ge: 0.1541 0.4557 0.9495
Ge: 0.1655 0.7500 0.4174
Ge: 0.2181 0.7500 0.9393
Ge: 0.2838 0.2500 0.5823
Ge: 0.3445 0.5417 0.5526
Ge: 0.3445 0.9583 0.5526
Ge: 0.4492 0.7500 0.7103
Ge: 0.5508 0.2500 0.2897
Ge: 0.6555 0.0417 0.4474
Ge: 0.6555 0.4583 0.4474
Ge: 0.7163 0.7500 0.4177
Ge: 0.7819 0.2500 0.0607
Ge: 0.8345 0.2500 0.5826
Ge: 0.8459 0.5443 0.0505
Ge: 0.8459 0.9557 0.0505
Pd: 0.0746 0.0839 0.6414
Pd: 0.0746 0.4161 0.6414
Pd: 0.4251 0.5857 0.8584
Pd: 0.4251 0.9143 0.8584
Pd: 0.5749 0.0857 0.1416
Pd: 0.5749 0.4143 0.1416
Pd: 0.9254 0.5839 0.3586
Pd: 0.9254 0.9161 0.3586

The 10 most intense peaks (10 to 90 degrees two-theta), by intensity:
- 2θ = 37.91°, rel. 100
- 2θ = 34.11°, rel. 93
- 2θ = 33.05°, rel. 54
- 2θ = 41.72°, rel. 49
- 2θ = 36.37°, rel. 30
- 2θ = 38.86°, rel. 28
- 2θ = 73.65°, rel. 21
- 2θ = 33.92°, rel. 20
- 2θ = 38.69°, rel. 17
- 2θ = 57.82°, rel. 14

---

Theoretical X-ray powder pattern
Compound: Cs2TcO3
Radiation: a wavelength of 1.5418 Å
Structure: a cell relaxed with PBE

Structural model:
Cell lengths 6.8216, 6.8216, 7.9305 Å; angles 90.00, 90.00, 120.00 degrees
Fractional positions:
Cs: 0.0000 0.0000 0.0000
Cs: 0.0000 0.0000 0.5000
Cs: 0.3333 0.6667 0.2568
Cs: 0.6667 0.3333 0.7432
Tc: 0.3333 0.6667 0.7511
Tc: 0.6667 0.3333 0.2489
O: 0.1376 0.7677 0.7493
O: 0.2323 0.3698 0.7493
O: 0.3698 0.2323 0.2507
O: 0.6302 0.8624 0.7493
O: 0.7677 0.1376 0.2507
O: 0.8624 0.6302 0.2507

The 10 most intense peaks (10 to 90 degrees two-theta), by intensity:
- 2θ = 26.13°, rel. 100
- 2θ = 27.08°, rel. 92
- 2θ = 37.98°, rel. 43
- 2θ = 46.69°, rel. 36
- 2θ = 53.46°, rel. 27
- 2θ = 46.09°, rel. 23
- 2θ = 61.21°, rel. 18
- 2θ = 53.75°, rel. 17
- 2θ = 73.44°, rel. 17
- 2θ = 66.98°, rel. 15